[1]
This entry pairs a crystal structure of SrPdSO with its simulated powder XRD pattern. Radiation: CuKα. Structure: the GGA-PBE geometry in OQMD.
Lines closer than 0.1° are merged.

Atomic structure:
a b c (Å): 4.507 11.057 5.907
angles (deg): 90.00 90.00 90.00
Space group Cmc2_1 (No. 36)
Asymmetric unit:
1 Sr 0.000 0.181 0.000 x4
2 Pd 0.000 0.475 0.063 x4
3 S 0.000 0.097 0.499 x4
4 O 0.000 0.373 0.348 x4

The 12 most intense peaks (5 to 70 degrees two-theta), by angle:
16.03°, d 5.529, I = 28.0; 21.29°, d 4.173, I = 25.0; 26.14°, d 3.409, I = 51.6; 30.26°, d 2.954, I = 71.6; 31.35°, d 2.853, I = 100.0; 35.87°, d 2.504, I = 64.4; 40.01°, d 2.253, I = 48.8; 44.13°, d 2.052, I = 81.5; 50.98°, d 1.792, I = 32.3; 54.81°, d 1.675, I = 36.6; 64.48°, d 1.445, I = 39.5; 67.28°, d 1.392, I = 23.0



[2]
This entry pairs a crystal structure of SrPdSO with its simulated powder XRD pattern. Radiation: CuKα. Structure: the GGA-PBE geometry in OQMD.
Lines closer than 0.1° are merged.

Atomic structure:
a b c (Å): 3.537 10.551 8.254
angles (deg): 90.00 90.00 90.00
Space group Cmc2_1 (No. 36)
Asymmetric unit:
1 Sr 0.000 0.004 0.000 x4
2 Pd 0.000 0.266 0.749 x4
3 S 0.000 0.374 0.246 x4
4 O 0.000 0.116 0.254 x4

The 12 most intense peaks (5 to 70 degrees two-theta), by angle:
21.53°, d 4.127, I = 13.6; 26.58°, d 3.354, I = 12.8; 27.44°, d 3.250, I = 100.0; 28.73°, d 3.107, I = 24.8; 33.99°, d 2.638, I = 14.6; 34.46°, d 2.603, I = 35.5; 36.01°, d 2.494, I = 23.5; 37.68°, d 2.387, I = 44.7; 43.88°, d 2.063, I = 22.0; 49.32°, d 1.848, I = 19.7; 51.66°, d 1.769, I = 27.5; 59.50°, d 1.554, I = 22.1



[3]
This entry pairs a crystal structure of SrPdSO with its simulated powder XRD pattern. Radiation: CuKα. Structure: the GGA-PBE geometry in OQMD.
Lines closer than 0.1° are merged.

Atomic structure:
a b c (Å): 7.927 3.497 10.939
angles (deg): 90.00 90.00 90.00
Space group Pnma (No. 62)
Asymmetric unit:
1 Sr 0.021 0.250 0.218 x4
2 Pd 0.217 0.250 0.518 x4
3 S 0.245 0.750 0.382 x4
4 O 0.200 0.750 0.634 x4

The 12 most intense peaks (5 to 70 degrees two-theta), by angle:
26.76°, d 3.331, I = 14.6; 26.91°, d 3.313, I = 15.2; 27.80°, d 3.210, I = 100.0; 29.08°, d 3.071, I = 25.6; 34.93°, d 2.569, I = 14.4; 35.19°, d 2.550, I = 39.1; 35.57°, d 2.524, I = 25.9; 37.39°, d 2.405, I = 55.9; 45.78°, d 1.982, I = 13.9; 50.54°, d 1.806, I = 15.3; 52.32°, d 1.749, I = 15.8; 60.29°, d 1.535, I = 25.8



[4]
This entry pairs a crystal structure of ScPd2O2 with its simulated powder XRD pattern. Radiation: CuKα. Structure: the GGA-PBE geometry in OQMD.
Lines closer than 0.1° are merged.

Atomic structure:
a b c (Å): 3.0537 3.0537 16.0236
angles (deg): 90.00 90.00 120.00
Space group P6_3/mmc (No. 194)
Asymmetric unit:
1 Sc 0.0000 0.0000 0.2500 x2
2 Pd 0.3333 0.6667 0.0606 x4
3 O 0.3333 0.6667 0.6761 x4

The 12 most intense peaks (5 to 70 degrees two-theta), by angle:
11.04°, d 8.012, I = 80.9; 33.56°, d 2.671, I = 18.3; 33.90°, d 2.645, I = 14.3; 34.37°, d 2.609, I = 8.2; 35.75°, d 2.511, I = 49.0; 37.97°, d 2.370, I = 100.0; 44.41°, d 2.040, I = 78.9; 45.27°, d 2.003, I = 12.7; 57.52°, d 1.602, I = 7.0; 57.74°, d 1.597, I = 24.4; 60.65°, d 1.527, I = 32.6; 61.86°, d 1.500, I = 7.4



[5]
This entry pairs a crystal structure of Sc2PdO4 with its simulated powder XRD pattern. Radiation: CuKα. Structure: the GGA-PBE geometry in OQMD.
Lines closer than 0.1° are merged.

Atomic structure:
a b c (Å): 8.946 8.946 8.946
angles (deg): 90.00 90.00 90.00
Space group Fd-3m (No. 227, origin choice 2)
Asymmetric unit:
1 Sc 0.000 0.000 0.000 x16
2 Pd 0.125 0.125 0.625 x8
3 O 0.015 0.015 0.235 x32

The 12 most intense peaks (5 to 70 degrees two-theta), by angle:
17.17°, d 5.165, I = 4.9; 28.21°, d 3.163, I = 67.6; 33.21°, d 2.697, I = 100.0; 34.74°, d 2.583, I = 1.4; 40.33°, d 2.237, I = 1.6; 44.12°, d 2.052, I = 6.9; 49.94°, d 1.826, I = 25.2; 53.20°, d 1.722, I = 39.9; 58.35°, d 1.581, I = 39.7; 61.30°, d 1.512, I = 1.9; 66.05°, d 1.415, I = 10.1; 68.81°, d 1.364, I = 11.4



[6]
This entry pairs a crystal structure of Pd2SeO with its simulated powder XRD pattern. Radiation: CuKα. Structure: the GGA-PBE geometry in OQMD.
Lines closer than 0.1° are merged.

Atomic structure:
a b c (Å): 3.311 12.193 6.135
angles (deg): 90.00 90.00 90.00
Space group Cmc2_1 (No. 36)
Asymmetric unit:
1 Pd 0.000 0.001 0.000 x4
2 Pd 0.000 0.273 0.760 x4
3 Se 0.000 0.374 0.252 x4
4 O 0.000 0.111 0.252 x4

The 12 most intense peaks (5 to 70 degrees two-theta), by angle:
29.30°, d 3.048, I = 16.0; 32.68°, d 2.740, I = 100.0; 34.96°, d 2.567, I = 78.2; 38.00°, d 2.368, I = 84.7; 40.78°, d 2.213, I = 69.5; 47.11°, d 1.929, I = 18.1; 48.69°, d 1.870, I = 29.9; 54.14°, d 1.694, I = 17.7; 55.54°, d 1.655, I = 42.3; 57.63°, d 1.599, I = 24.0; 60.35°, d 1.534, I = 18.0; 65.94°, d 1.417, I = 38.7



[7]
This entry pairs a crystal structure of Pd2SeO with its simulated powder XRD pattern. Radiation: CuKα. Structure: the GGA-PBE geometry in OQMD.
Lines closer than 0.1° are merged.

Atomic structure:
a b c (Å): 6.130 3.351 12.080
angles (deg): 90.00 90.00 90.00
Space group Pnma (No. 62)
Asymmetric unit:
1 Pd 0.055 0.250 0.245 x4
2 Pd 0.240 0.250 0.976 x4
3 Se 0.200 0.250 0.621 x4
4 O 0.204 0.750 0.862 x4

The 12 most intense peaks (5 to 70 degrees two-theta), by angle:
29.13°, d 3.065, I = 19.8; 32.77°, d 2.733, I = 96.4; 34.83°, d 2.576, I = 100.0; 36.85°, d 2.439, I = 26.2; 37.89°, d 2.375, I = 89.6; 39.86°, d 2.262, I = 23.3; 40.58°, d 2.223, I = 54.5; 48.78°, d 1.867, I = 39.7; 54.78°, d 1.676, I = 35.1; 55.67°, d 1.651, I = 19.4; 57.58°, d 1.601, I = 21.7; 65.32°, d 1.429, I = 25.4



[8]
This entry pairs a crystal structure of SnPdSeO with its simulated powder XRD pattern. Radiation: CuKα. Structure: the GGA-PBE geometry in OQMD.
Lines closer than 0.1° are merged.

Atomic structure:
a b c (Å): 4.618 8.401 8.471
angles (deg): 90.00 90.00 90.00
Space group P2_12_12_1 (No. 19)
Asymmetric unit:
1 Sn 0.213 0.150 0.392 x4
2 Pd 0.236 0.837 0.443 x4
3 Se 0.234 0.631 0.660 x4
4 O 0.233 0.711 0.086 x4

The 12 most intense peaks (5 to 70 degrees two-theta), by angle:
21.15°, d 4.200, I = 29.8; 23.52°, d 3.782, I = 100.0; 24.37°, d 3.652, I = 34.1; 30.56°, d 2.925, I = 31.8; 37.56°, d 2.395, I = 25.3; 38.54°, d 2.336, I = 66.8; 39.02°, d 2.308, I = 61.3; 43.29°, d 2.090, I = 47.4; 43.41°, d 2.084, I = 25.0; 46.06°, d 1.971, I = 30.8; 47.21°, d 1.925, I = 25.3; 56.00°, d 1.642, I = 39.7